[1]
Simulated X-ray powder pattern
Compound: Pm2Tm3Al3
Radiation: λ = 1.5418 Å (Cu Kα)
Structure: the PBE geometry in Alexandria
Kinematic intensities with the Lorentz-polarization factor, no thermal factor.

Cell and atoms:
```
data_Pm2Tm3Al3
_chemical_formula_sum 'Pm2 Tm3 Al3'
_cell_length_a 11.3081
_cell_length_b 11.3081
_cell_length_c 11.3081
_cell_angle_alpha 161.27
_cell_angle_beta 153.99
_cell_angle_gamma 32.25
_symmetry_space_group_name_H-M 'P 1'
_symmetry_Int_Tables_number 1
_symmetry_space_group_name_Hall 'P 1'
loop_
_atom_site_label
_atom_site_type_symbol
_atom_site_fract_x
_atom_site_fract_y
_atom_site_fract_z
Pm1 Pm 0.2287 0.2287 0.0000
Pm2 Pm 0.7713 0.7713 0.0000
Tm1 Tm 0.0000 0.0000 0.0000
Tm2 Tm 0.3832 0.8832 0.5000
Tm3 Tm 0.6168 0.1168 0.5000
Al1 Al 0.1120 0.6120 0.5000
Al2 Al 0.5000 0.5000 0.0000
Al3 Al 0.8880 0.3880 0.5000
```

Most intense lines, 2θ from 10° to 90°, by angle:
2θ (°)  I/Imax
24.5  27
27.0  43
33.0  19
34.3  100
35.3  26
44.9  16
58.4  20
62.7  18



[2]
Simulated X-ray powder pattern
Compound: Zn3Ga8
Radiation: λ = 1.5418 Å (Cu Kα)
Structure: the PBE geometry in Alexandria
Kinematic intensities with the Lorentz-polarization factor, no thermal factor.

Cell and atoms:
```
data_Zn3Ga8
_chemical_formula_sum 'Zn3 Ga8'
_cell_length_a 5.9550
_cell_length_b 5.9550
_cell_length_c 5.9550
_cell_angle_alpha 91.57
_cell_angle_beta 91.57
_cell_angle_gamma 91.57
_symmetry_space_group_name_H-M 'P 1'
_symmetry_Int_Tables_number 1
_symmetry_space_group_name_Hall 'P 1'
loop_
_atom_site_label
_atom_site_type_symbol
_atom_site_fract_x
_atom_site_fract_y
_atom_site_fract_z
Zn1 Zn 0.0000 0.5000 0.5000
Zn2 Zn 0.5000 0.0000 0.5000
Zn3 Zn 0.5000 0.5000 0.0000
Ga1 Ga 0.2251 0.2251 0.7661
Ga2 Ga 0.2251 0.7661 0.2251
Ga3 Ga 0.2339 0.7749 0.7749
Ga4 Ga 0.2372 0.2372 0.2372
Ga5 Ga 0.7628 0.7628 0.7628
Ga6 Ga 0.7661 0.2251 0.2251
Ga7 Ga 0.7749 0.2339 0.7749
Ga8 Ga 0.7749 0.7749 0.2339
```

Most intense lines, 2θ from 10° to 90°, by angle:
2θ (°)  I/Imax
25.7  26
26.7  15
30.0  55
33.3  15
42.4  100
43.6  92
62.4  27
78.4  25



[3]
Simulated X-ray powder pattern
Compound: Ac4ScPb8
Radiation: λ = 1.5418 Å (Cu Kα)
Structure: the PBE geometry in Alexandria
Kinematic intensities with the Lorentz-polarization factor, no thermal factor.

Cell and atoms:
```
data_Ac4ScPb8
_chemical_formula_sum 'Ac4 Sc1 Pb8'
_cell_length_a 4.7838
_cell_length_b 4.9572
_cell_length_c 18.5880
_cell_angle_alpha 90.00
_cell_angle_beta 90.00
_cell_angle_gamma 90.00
_symmetry_space_group_name_H-M 'P 1'
_symmetry_Int_Tables_number 1
_symmetry_space_group_name_Hall 'P 1'
loop_
_atom_site_label
_atom_site_type_symbol
_atom_site_fract_x
_atom_site_fract_y
_atom_site_fract_z
Ac1 Ac 0.0000 0.0000 0.0000
Ac2 Ac 0.0000 0.5000 0.4817
Ac3 Ac 0.5000 0.0000 0.7928
Ac4 Ac 0.5000 0.5000 0.2885
Sc1 Sc 0.0000 0.5000 0.7079
Pb1 Pb 0.0000 0.0000 0.3238
Pb2 Pb 0.0000 0.0000 0.6212
Pb3 Pb 0.0000 0.5000 0.1402
Pb4 Pb 0.0000 0.5000 0.8615
Pb5 Pb 0.5000 0.0000 0.1481
Pb6 Pb 0.5000 0.0000 0.4407
Pb7 Pb 0.5000 0.5000 0.6187
Pb8 Pb 0.5000 0.5000 0.9787
```

Most intense lines, 2θ from 10° to 90°, by angle:
2θ (°)  I/Imax
28.8  15
29.7  100
36.2  19
37.6  17
48.1  9
53.2  13
61.2  14
63.1  13